KPr2WO6: simulated XRD peak list (a wavelength of 1.5418 Å), based on a crystal structure in Alexandria, relaxed with GGA+U.

```
data_KPr2WO6
_chemical_formula_sum 'K1 Pr2 W1 O6'
_cell_length_a 5.9722
_cell_length_b 6.0154
_cell_length_c 6.3017
_cell_angle_alpha 61.71
_cell_angle_beta 62.70
_cell_angle_gamma 60.33
_space_group_name_H-M_alt 'P 1'
_space_group_IT_number 1
loop_
_space_group_symop_operation_xyz
'x,y,z'
loop_
_atom_site_label
_atom_site_fract_x
_atom_site_fract_y
_atom_site_fract_z
K1 0.0000 0.0000 0.0000
Pr1 0.2240 0.2147 0.3308
Pr2 0.7336 0.7389 0.7941
W1 0.5260 0.5312 0.4100
O1 0.1685 0.7647 0.6024
O2 0.3742 0.5731 0.1642
O3 0.4481 0.1734 0.6045
O4 0.5723 0.8917 0.1524
O5 0.7503 0.4571 0.6011
O6 0.8867 0.3749 0.1585
```

Largest 6 diffraction maxima, by angle, 2θ = 5–70°:
- 17.9°, intensity 35
- 28.0°, intensity 45
- 28.3°, intensity 43
- 28.4°, intensity 43
- 29.7°, intensity 100
- 29.9°, intensity 48